HfMoCBr2: theoretical powder XRD pattern (Cu Kα (weighted mean of Kα1 and Kα2)), based on a structure optimized by DFT (GGA-PBE).
Neutral-atom scattering factors, no anomalous dispersion.

Structural model:
a = 3.4377 Å, b = 3.4377 Å, c = 9.7297 Å
α = 90.00°, β = 90.00°, γ = 120.00°
Space group P3m1 (No. 156)
Symmetry-distinct sites (fractional):
Hf 0.0000 0.0000 0.0000 x1
Mo 0.6667 0.3333 0.2104 x1
C 0.3333 0.6667 0.1145 x1
Br 0.0000 0.0000 0.4102 x1
Br 0.6667 0.3333 0.7997 x1

Principal peaks in the range 2θ from 15° to 90°, in order of rising 2θ:
- 2θ 30.0, intensity 347
- 2θ 35.3, intensity 1000
- 2θ 41.2, intensity 527
- 2θ 46.7, intensity 127
- 2θ 53.3, intensity 285
- 2θ 56.5, intensity 133
- 2θ 65.6, intensity 177
- 2θ 73.5, intensity 198
- 2θ 75.5, intensity 124
- 2θ 89.4, intensity 155